# Gd3Mg3ZnHg2
Simulated X-ray diffraction stick pattern, λ = 1.5418 Å (Cu Kα). Input: a structure optimized by DFT (GGA-PBE).
Kinematic intensities with the Lorentz-polarization factor, no thermal factor.

Crystal structure
Lattice parameters (Å, degrees): 7.8241 7.8241 4.1598 90.00 90.00 120.00
Space group P-62m (No. 189)
Unique sites:
1 Gd 0.0000 0.4066 0.0000 [3 per cell]
2 Mg 0.0000 0.7568 0.5000 [3 per cell]
3 Zn 0.0000 0.0000 0.0000 [1 per cell]
4 Hg 0.3333 0.6667 0.5000 [2 per cell]

Peak list (6 most intense, 10° ≤ 2θ ≤ 90°, by intensity)
(hkl)	d/Å	2θ (°)	I_rel
1 1 1	2.850	31.4	100
2 0 1	2.627	34.1	68
1 0 0	6.776	13.1	40
1 1 0	3.912	22.7	38
3 0 0	2.259	39.9	34
3 1 2	1.394	67.2	25


# GdHgSO
Simulated X-ray diffraction stick pattern, λ = 1.5418 Å (Cu Kα). Input: a structure optimized by DFT (GGA-PBE).
Kinematic intensities with the Lorentz-polarization factor, no thermal factor.

Crystal structure
Lattice parameters (Å, degrees): 5.673 5.673 12.914 90.00 91.71 90.00
Space group P2_1 (No. 4)
Unique sites:
1 Gd 0.003 0.000 0.084 [2 per cell]
2 Gd 0.495 0.001 0.914 [2 per cell]
3 Hg 0.126 0.272 0.497 [2 per cell]
4 Hg 0.498 0.017 0.266 [2 per cell]
5 S 0.205 0.310 0.242 [2 per cell]
6 S 0.212 0.226 0.754 [2 per cell]
7 O 0.250 0.750 0.000 [2 per cell]
8 O 0.253 0.248 0.000 [2 per cell]

Peak list (6 most intense, 10° ≤ 2θ ≤ 90°, by intensity)
(hkl)	d/Å	2θ (°)	I_rel
1 1 3	2.903	30.8	100
1 1 -3	2.965	30.1	97
1 1 -2	3.437	25.9	75
1 2 0	2.538	35.4	66
1 1 2	3.376	26.4	60
0 2 1	2.770	32.3	51